[1]
Structure and theoretical PXRD pattern of LaTb5Ho2Th (a crystal structure in Alexandria, relaxed with GGA-PBE; Cu Ka).
Lines closer than 0.1° are merged.

Principal peaks in the range 5° ≤ 2θ ≤ 70°, sorted by position:
2θ (°), I_rel, hkl
28.1, 23, 0 6 1
30.4, 49, 1 1 3
31.7, 42, 2 0 0
32.3, 100, 1 5 2
34.2, 12, 0 0 4
42.9, 15, 2 6 1
47.3, 9, 2 0 4
51.5, 13, 0 6 5
55.6, 9, 3 1 3
56.9, 21, 3 5 2
59.7, 15, 1 11 3
61.7, 15, 2 6 5

Structural model:
Lattice parameters (Å, degrees): 5.6455 19.9630 10.5002 90.00 90.00 90.00
Space group Cmc2_1 (No. 36)
Asymmetric unit:
La 0.0000 0.0854 0.0000 x4
Tb 0.0000 0.0218 0.2914 x4
Tb 0.0000 0.1137 0.5807 x4
Tb 0.0000 0.2048 0.2632 x4
Tb 0.0000 0.2234 0.8729 x4
Tb 0.0000 0.4838 0.5800 x4
Ho 0.0000 0.3868 0.2883 x4
Ho 0.0000 0.3871 0.8734 x4
Th 0.0000 0.2994 0.5704 x4

---

[2]
Structure and theoretical PXRD pattern of NdSn2Sb2 (a crystal structure in Alexandria, relaxed with GGA-PBE; Cu Ka).
Lines closer than 0.1° are merged.

Principal peaks in the range 5° ≤ 2θ ≤ 70°, sorted by position:
2θ (°), I_rel, hkl
29.4, 18, 0 10 0
32.3, 100, 1 5 1
33.7, 6, 1 9 0
38.7, 6, 1 11 0
40.3, 16, 0 0 2
41.0, 6, 0 12 1
41.7, 15, 2 0 0
50.7, 8, 0 10 2
51.9, 8, 2 10 0
59.4, 11, 2 0 2
67.6, 7, 2 10 2
68.2, 12, 1 5 3

Structural model:
Lattice parameters (Å, degrees): 4.3286 30.3346 4.4809 90.00 90.00 90.00
Space group Cmcm (No. 63)
Asymmetric unit:
Nd 0.0000 0.1678 0.2500 x4
Sn 0.0000 0.0625 0.7500 x4
Sn 0.0000 0.4635 0.7500 x4
Sb 0.0000 0.2495 0.7500 x4
Sb 0.0000 0.3625 0.2500 x4

---

[3]
Structure and theoretical PXRD pattern of Nd2Cd12Ag5 (a crystal structure in Alexandria, relaxed with GGA-PBE; Cu Ka).
Lines closer than 0.1° are merged.

Principal peaks in the range 5° ≤ 2θ ≤ 70°, sorted by position:
2θ (°), I_rel, hkl
31.1, 34, 3 0 0
32.0, 29, 0 2 4
36.1, 63, 2 2 0
36.2, 100, 0 3 3
36.7, 38, 0 0 6
37.0, 28, 2 0 5
40.7, 67, 2 2 3
41.1, 13, 1 1 6
52.4, 14, 2 2 6
58.8, 16, 3 3 3
64.9, 24, 6 0 0
65.7, 23, 0 3 9

Structural model:
Lattice parameters (Å, degrees): 9.9495 9.9495 14.7059 90.00 90.00 120.00
Space group R-3m (No. 166, hexagonal axes)
Asymmetric unit:
Nd 0.0000 0.0000 0.1660 x6
Cd 0.0000 0.2966 0.5000 x18
Cd 0.0016 0.5008 0.6495 x18
Ag 0.0000 0.0000 0.3958 x6
Ag 0.0000 0.5000 0.0000 x9

---

[4]
Structure and theoretical PXRD pattern of Tm3SbS (a crystal structure in Alexandria, relaxed with GGA-PBE; Cu Ka).
Lines closer than 0.1° are merged.

Principal peaks in the range 5° ≤ 2θ ≤ 70°, sorted by position:
2θ (°), I_rel, hkl
29.2, 17, 0 1 3
31.0, 56, 1 1 3
31.2, 89, 2 1 1
31.9, 22, 3 0 1
32.7, 46, 2 0 4
33.1, 100, 1 0 5
33.7, 15, 3 0 2
38.9, 30, 0 1 5
45.3, 30, 0 2 0
55.3, 16, 3 1 6
57.0, 19, 2 2 4
57.3, 16, 1 2 5

Structural model:
Lattice parameters (Å, degrees): 8.5950 4.0006 14.2190 90.00 90.00 90.00
Space group Pnma (No. 62)
Asymmetric unit:
Tm 0.0275 0.2500 0.1123 x4
Tm 0.1634 0.2500 0.5163 x4
Tm 0.2089 0.7500 0.2787 x4
Sb 0.0612 0.7500 0.6729 x4
S 0.1618 0.2500 0.9456 x4

---

[5]
Structure and theoretical PXRD pattern of Si23Se (a crystal structure in Alexandria, relaxed with GGA-PBE; Cu Ka).
Lines closer than 0.1° are merged.

Principal peaks in the range 5° ≤ 2θ ≤ 70°, sorted by position:
2θ (°), I_rel, hkl
12.2, 64, 1 1 0
19.4, 47, 2 1 0
31.6, 11, 3 2 0
32.8, 100, 3 2 1
36.2, 16, 4 1 0
37.3, 24, 3 3 0
40.4, 15, 4 2 1
47.9, 11, 4 3 2
52.2, 20, 5 3 0
53.0, 13, 5 3 1
53.8, 20, 6 0 0
55.4, 43, 5 3 2

Structural model:
Lattice parameters (Å, degrees): 10.2242 10.2242 10.2242 90.00 90.00 90.00
Space group Pm-3n (No. 223)
Asymmetric unit:
Si 0.0000 0.1167 0.3085 x24
Si 0.0000 0.2500 0.5000 x6
Si 0.1827 0.1827 0.1827 x16
Se 0.0000 0.0000 0.0000 x2

---

[6]
Structure and theoretical PXRD pattern of Na2MnCdH6 (a crystal structure in Alexandria, relaxed with GGA-PBE; Cu Ka).
Lines closer than 0.1° are merged.

Principal peaks in the range 5° ≤ 2θ ≤ 70°, sorted by position:
2θ (°), I_rel, hkl
20.6, 18, 1 0 0
23.7, 17, 0 0 1
23.9, 33, 1 1 -1
33.9, 100, 1 1 0
34.0, 20, 2 0 -1
40.1, 7, 2 1 -2
41.9, 9, 2 0 0
48.6, 7, 0 0 2
48.9, 15, 2 2 -2
55.1, 8, 2 2 -3
60.7, 14, 2 0 -3
60.8, 17, 3 1 -1

Structural model:
Lattice parameters (Å, degrees): 5.2679 5.2781 5.2797 119.88 119.86 90.02
Space group P-1 (No. 2)
Asymmetric unit:
Na 0.2483 0.2501 0.0017 x2
Mn 0.5000 0.0000 0.5000 x1
Cd 0.0000 0.5000 0.5000 x1
H 0.2689 0.7747 0.0465 x2
H 0.2711 0.2271 0.4947 x2
H 0.2724 0.7690 0.4969 x2

---

[7]
Structure and theoretical PXRD pattern of PrTh3Ni8 (a crystal structure in Alexandria, relaxed with GGA-PBE; Cu Ka).
Lines closer than 0.1° are merged.

Principal peaks in the range 5° ≤ 2θ ≤ 70°, sorted by position:
2θ (°), I_rel, hkl
21.0, 25, 0 1 2
31.7, 2, 1 0 7
34.6, 74, 1 1 0
40.8, 100, 2 0 2
42.7, 12, 0 2 4
49.7, 2, 2 0 8
54.5, 5, 1 2 2
62.0, 21, 3 0 0
62.1, 7, 1 0 16
66.0, 2, 1 1 15
66.2, 29, 3 0 6
66.3, 2, 0 0 18

Structural model:
Lattice parameters (Å, degrees): 5.1878 5.1878 25.3621 90.00 90.00 120.00
Space group R3m (No. 160, hexagonal axes)
Asymmetric unit:
Pr 0.0000 0.0000 0.0000 x3
Th 0.0000 0.0000 0.1244 x3
Th 0.0000 0.0000 0.5047 x3
Th 0.0000 0.0000 0.6313 x3
Ni 0.0000 0.0000 0.3142 x3
Ni 0.0000 0.0000 0.8149 x3
Ni 0.0018 0.5009 0.0662 x9
Ni 0.1683 0.3366 0.8970 x9

---

[8]
Structure and theoretical PXRD pattern of Y4Er2Th (a crystal structure in Alexandria, relaxed with GGA-PBE; Cu Ka).
Lines closer than 0.1° are merged.

Principal peaks in the range 5° ≤ 2θ ≤ 70°, sorted by position:
2θ (°), I_rel, hkl
13.3, 17, 0 0 3
28.7, 56, 2 0 -1
31.3, 48, 0 0 7
32.4, 100, 1 1 3
33.1, 93, 1 1 -4
41.8, 21, 2 0 6
44.1, 17, 2 0 -8
50.7, 37, 0 2 0
55.9, 21, 1 1 10
57.3, 19, 1 1 -11
60.8, 42, 0 2 7
61.5, 16, 4 0 2

Structural model:
Lattice parameters (Å, degrees): 6.2313 3.5992 20.1191 90.00 95.97 90.00
Space group Cm (No. 8)
Asymmetric unit:
Y 0.0000 0.0000 0.0000 x2
Y 0.0202 0.5000 0.5659 x2
Y 0.0938 0.0000 0.2814 x2
Y 0.1172 0.5000 0.8560 x2
Er 0.2135 0.5000 0.1410 x2
Er 0.3063 0.5000 0.4235 x2
Th 0.4017 0.5000 0.7112 x2

---

[9]
Structure and theoretical PXRD pattern of Sr4GeI4 (a crystal structure in Alexandria, relaxed with GGA-PBE; Cu Ka).
Lines closer than 0.1° are merged.

Principal peaks in the range 5° ≤ 2θ ≤ 70°, sorted by position:
2θ (°), I_rel, hkl
23.0, 14, 2 0 -3
26.4, 100, 3 1 -2
26.6, 47, 2 0 2
37.3, 17, 6 0 -4
37.4, 34, 5 1 0
37.9, 20, 0 2 0
38.1, 35, 1 1 -4
45.8, 8, 8 0 -2
46.9, 28, 2 2 2
54.3, 11, 6 2 -4
61.7, 9, 3 3 -2
61.9, 8, 4 2 -6

Structural model:
Lattice parameters (Å, degrees): 16.1047 4.7440 11.6071 90.00 120.08 90.00
Space group C2/m (No. 12)
Asymmetric unit:
Sr 0.0796 0.0000 0.4088 x4
Sr 0.1817 0.5000 0.7729 x4
Ge 0.0000 0.5000 0.5000 x2
I 0.1136 0.0000 0.9145 x4
I 0.1963 0.5000 0.3014 x4